CoTc4Pb: calculated powder X-ray diffraction pattern (Cu Kα, 1.54184 Å), based on a cell relaxed with GGA-PBE.

Cell and atoms:
```
data_CoTc4Pb
_chemical_formula_sum 'Co4 Tc16 Pb4'
_symmetry_space_group_name_H-M 'F -4 3 m'
_symmetry_Int_Tables_number 216
_symmetry_space_group_name_Hall 'F -4 2 3'
_cell_length_a 7.336
_cell_length_b 7.336
_cell_length_c 7.336
_cell_angle_alpha 90.00
_cell_angle_beta 90.00
_cell_angle_gamma 90.00
loop_
_atom_site_label
_atom_site_fract_x
_atom_site_fract_y
_atom_site_fract_z
Co1 0.000 0.000 0.000
Tc1 0.125 0.125 0.375
Pb1 0.250 0.250 0.750
```

Top 10 peaks for 2θ from 10° to 90°, in order of rising 2θ:
2θ (°)	I (rel.)
20.97	11
24.26	12
34.58	35
40.79	100
42.69	33
61.97	13
66.19	32
72.94	24
87.11	12
88.38	12